The following is a calculated powder diffractogram of LiFe8O12F4. It was derived from a structure optimized by DFT (PBE+U), using copper Kα.
Neutral-atom scattering factors, no anomalous dispersion.

Peak list (8 most intense, 2θ = 15–90°, low angle first)
d = 3.764 Å, intensity 100.0, (4 0 0)
d = 3.155 Å, intensity 78.6, (0 0 2)
d = 2.532 Å, intensity 33.6, (2 2 -1)
d = 2.517 Å, intensity 46.6, (2 2 1)
d = 2.327 Å, intensity 18.7, (4 2 0)
d = 1.840 Å, intensity 18.6, (6 2 -1)
d = 1.823 Å, intensity 26.9, (6 2 1)
d = 1.665 Å, intensity 25.0, (2 2 3)

Cell and atoms:
```
data_LiFe8O12F4
_chemical_formula_sum 'Li2 Fe16 O24 F8'
_cell_length_a 15.059
_cell_length_b 5.920
_cell_length_c 6.312
_cell_angle_alpha 90.00
_cell_angle_beta 91.31
_cell_angle_gamma 90.00
_symmetry_space_group_name_H-M 'C 1 2 1'
_symmetry_Int_Tables_number 5
loop_
_symmetry_equiv_pos_as_xyz
'x,y,z'
'-x,y,-z'
'x+1/2,y+1/2,z'
'-x+1/2,y+1/2,-z'
loop_
_atom_site_label
_atom_site_fract_x
_atom_site_fract_y
_atom_site_fract_z
Li1 0.000 0.000 0.000
Fe1 0.089 0.499 0.249
Fe2 0.125 0.246 0.743
Fe3 0.125 0.753 0.743
Fe4 0.142 0.999 0.251
O1 0.041 0.499 0.734
O2 0.107 0.239 0.053
O3 0.107 0.759 0.053
O4 0.130 0.255 0.439
O5 0.130 0.743 0.439
O6 0.201 0.999 0.761
F1 0.026 0.999 0.718
F2 0.220 0.499 0.774
```